Record 1
Sr2CeO4: calculated XRD peak list (CuKα), based on a crystal structure in the Materials Project, relaxed with GGA-PBE.
Peak positions follow from Bragg's law for the DFT cell and can differ from measured ones.

Principal peaks in the range 15° ≤ 2θ ≤ 90°, sorted by position:
2θ/deg, d_spacing, I_rel, h k l
16.71, 5.306, 30, 1 1 0
29.43, 3.035, 91, 1 3 0
29.79, 2.999, 100, 1 1 1
29.93, 2.985, 41, 0 2 1
42.17, 2.143, 53, 2 2 1
52.61, 1.740, 36, 1 5 1

Crystal structure
```
data_Sr2CeO4
_chemical_formula_sum 'Sr4 Ce2 O8'
_cell_length_a 6.1560
_cell_length_b 10.4640
_cell_length_c 3.6349
_cell_angle_alpha 90.00
_cell_angle_beta 90.00
_cell_angle_gamma 90.00
_symmetry_space_group_name_H-M 'P b a m'
_symmetry_Int_Tables_number 55
loop_
_symmetry_equiv_pos_as_xyz
'x,y,z'
'-x,-y,-z'
'-x,-y,z'
'x,y,-z'
'x+1/2,-y+1/2,-z'
'-x+1/2,y+1/2,z'
'-x+1/2,y+1/2,-z'
'x+1/2,-y+1/2,z'
loop_
_atom_site_label
_atom_site_fract_x
_atom_site_fract_y
_atom_site_fract_z
_atom_site_occupancy
Sr1 0.0631 0.1788 0.0000 1
Ce1 0.0000 0.5000 0.5000 1
O1 0.1427 0.6934 0.5000 1
O2 0.2266 0.4578 0.0000 1
```

***

Record 2
Sr2CeTiO6: calculated XRD peak list (CuKα), based on a crystal structure in the Materials Project, relaxed with GGA-PBE.
Peak positions follow from Bragg's law for the DFT cell and can differ from measured ones.

Principal peaks in the range 15° ≤ 2θ ≤ 90°, sorted by position:
2θ/deg, d_spacing, I_rel, h k l
30.22, 2.957, 100, 2 2 0
43.27, 2.091, 35, 4 0 0
53.68, 1.707, 40, 4 2 2
62.85, 1.479, 21, 4 4 0
71.31, 1.323, 18, 6 2 0
87.21, 1.118, 21, 6 4 2

Crystal structure
```
data_Sr2CeTiO6
_chemical_formula_sum 'Sr8 Ce4 Ti4 O24'
_cell_length_a 8.3647
_cell_length_b 8.3647
_cell_length_c 8.3647
_cell_angle_alpha 90.00
_cell_angle_beta 90.00
_cell_angle_gamma 90.00
_symmetry_space_group_name_H-M 'F m -3 m'
_symmetry_Int_Tables_number 225
_symmetry_space_group_name_Hall '-F 4 2 3'
loop_
_atom_site_label
_atom_site_fract_x
_atom_site_fract_y
_atom_site_fract_z
_atom_site_occupancy
Sr1 0.2500 0.2500 0.2500 1
Ce1 0.0000 0.0000 0.0000 1
Ti1 0.0000 0.0000 0.5000 1
O1 0.0000 0.0000 0.2645 1
```

***

Record 3
Sr2Ce2Ti5O15: calculated XRD peak list (CuKα), based on a crystal structure in the Materials Project, relaxed with GGA-PBE.
Peak positions follow from Bragg's law for the DFT cell and can differ from measured ones.

Principal peaks in the range 15° ≤ 2θ ≤ 90°, sorted by position:
2θ/deg, d_spacing, I_rel, h k l
18.72, 4.741, 16, 1 0 1
32.40, 2.763, 100, 1 1 0
39.96, 2.256, 22, 2 0 5
46.48, 1.954, 40, 0 2 10
57.79, 1.595, 37, 3 0 0
67.83, 1.382, 23, 2 2 0

Crystal structure
```
data_Sr2Ce2Ti5O15
_chemical_formula_sum 'Sr6 Ce6 Ti15 O45'
_cell_length_a 5.5287
_cell_length_b 5.5287
_cell_length_c 33.8122
_cell_angle_alpha 90.00
_cell_angle_beta 90.00
_cell_angle_gamma 120.00
_symmetry_space_group_name_H-M 'R -3 m'
_symmetry_Int_Tables_number 166
_symmetry_space_group_name_Hall '-R 3 2"'
loop_
_atom_site_label
_atom_site_fract_x
_atom_site_fract_y
_atom_site_fract_z
_atom_site_occupancy
Sr1 0.0000 0.0000 0.1999 1
Ce1 0.0000 0.0000 0.3979 1
Ti1 0.0000 0.0000 0.0973 1
Ti2 0.0000 0.0000 0.3020 1
Ti3 0.0000 0.0000 0.5000 1
O1 0.0000 0.5000 0.0000 1
O2 0.0053 0.5026 0.2013 1
O3 0.0086 0.5043 0.4014 1
```

***

Record 4
Ce3TaO7: calculated XRD peak list (CuKα), based on a crystal structure in the Materials Project, relaxed with GGA-PBE.
Peak positions follow from Bragg's law for the DFT cell and can differ from measured ones.

Principal peaks in the range 15° ≤ 2θ ≤ 90°, sorted by position:
2θ/deg, d_spacing, I_rel, h k l
28.22, 3.162, 100, 2 0 2
28.75, 3.105, 89, 2 2 0
32.44, 2.760, 24, 4 0 0
33.29, 2.691, 43, 0 2 2
47.15, 1.927, 67, 0 0 4
56.13, 1.639, 27, 2 2 4

Crystal structure
```
data_Ce3TaO7
_chemical_formula_sum 'Ce12 Ta4 O28'
_cell_length_a 11.0398
_cell_length_b 7.5120
_cell_length_c 7.7157
_cell_angle_alpha 90.00
_cell_angle_beta 90.00
_cell_angle_gamma 90.00
_symmetry_space_group_name_H-M 'C m c m'
_symmetry_Int_Tables_number 63
_symmetry_space_group_name_Hall '-C 2c 2'
loop_
_atom_site_label
_atom_site_fract_x
_atom_site_fract_y
_atom_site_fract_z
_atom_site_occupancy
Ce1 0.0000 0.0000 0.0000 1
Ce2 0.2284 0.2976 0.2500 1
Ta1 0.0000 0.5000 0.0000 1
O1 0.0000 0.4298 0.2500 1
O2 0.1276 0.3095 0.5375 1
O3 0.1306 0.0273 0.2500 1
```

***

Record 5
CeTaTiO6: calculated XRD peak list (CuKα), based on a crystal structure in the Materials Project, relaxed with GGA-PBE.
Peak positions follow from Bragg's law for the DFT cell and can differ from measured ones.

Principal peaks in the range 15° ≤ 2θ ≤ 90°, sorted by position:
2θ/deg, d_spacing, I_rel, h k l
19.76, 4.493, 45, 2 0 1
21.80, 4.078, 42, 1 1 1
29.21, 3.057, 77, 3 1 0
29.95, 2.984, 100, 1 1 2
33.39, 2.684, 26, 0 2 0
57.17, 1.611, 32, 3 1 4

Crystal structure
```
data_CeTaTiO6
_chemical_formula_sum 'Ce4 Ta4 Ti4 O24'
_cell_length_a 11.1567
_cell_length_b 5.3675
_cell_length_c 7.5822
_cell_angle_alpha 90.00
_cell_angle_beta 90.00
_cell_angle_gamma 90.00
_symmetry_space_group_name_H-M 'P n a 21'
_symmetry_Int_Tables_number 33
loop_
_symmetry_equiv_pos_as_xyz
'x,y,z'
'-x,-y,z+1/2'
'-x+1/2,y+1/2,z+1/2'
'x+1/2,-y+1/2,z'
loop_
_atom_site_label
_atom_site_fract_x
_atom_site_fract_y
_atom_site_fract_z
_atom_site_occupancy
Ce1 0.0427 0.0472 0.0000 1
Ta1 0.1444 0.5401 0.2573 1
Ti1 0.1423 0.5362 0.7457 1
O1 0.0244 0.2661 0.7140 1
O2 0.0270 0.2628 0.2893 1
O3 0.1197 0.6581 0.5029 1
O4 0.1427 0.4478 0.0009 1
O5 0.2098 0.8724 0.8115 1
O6 0.2122 0.8765 0.1921 1
```

***

Record 6
TbCe3O8: calculated XRD peak list (CuKα), based on a crystal structure in the Materials Project, relaxed with GGA-PBE.
Peak positions follow from Bragg's law for the DFT cell and can differ from measured ones.

Principal peaks in the range 15° ≤ 2θ ≤ 90°, sorted by position:
2θ/deg, d_spacing, I_rel, h k l
28.30, 3.153, 100, 1 1 2
32.79, 2.731, 30, 2 0 0
47.06, 1.931, 54, 2 2 0
55.83, 1.647, 45, 3 1 2
75.94, 1.253, 18, 3 3 2
87.49, 1.115, 17, 4 2 4

Crystal structure
```
data_TbCe3O8
_chemical_formula_sum 'Tb2 Ce6 O16'
_cell_length_a 5.4636
_cell_length_b 5.4636
_cell_length_c 10.9171
_cell_angle_alpha 90.00
_cell_angle_beta 90.00
_cell_angle_gamma 90.00
_symmetry_space_group_name_H-M 'I 4/m m m'
_symmetry_Int_Tables_number 139
_symmetry_space_group_name_Hall '-I 4 2'
loop_
_atom_site_label
_atom_site_fract_x
_atom_site_fract_y
_atom_site_fract_z
_atom_site_occupancy
Tb1 0.0000 0.0000 0.0000 1
Ce1 0.0000 0.0000 0.5000 1
Ce2 0.0000 0.5000 0.2500 1
O1 0.2482 0.2482 0.3742 1
```